# TbNd5Bi6
Calculated X-ray diffraction stick pattern, Cu Kα X-rays. Input: a PBE-relaxed structure.
Kinematic intensities with the Lorentz-polarization factor, no thermal factor.

Structure:
Cell lengths 7.953, 7.953, 7.953 Å; angles 99.61, 99.61, 120.01 degrees
Fractional coordinates of all 12 atoms:
1 Tb 0.000 0.000 0.000
2 Nd 0.168 0.832 0.500
3 Nd 0.334 0.666 0.000
4 Nd 0.500 0.500 0.500
5 Nd 0.666 0.334 0.000
6 Nd 0.832 0.168 0.500
7 Bi 0.082 0.412 0.247
8 Bi 0.246 0.246 0.752
9 Bi 0.412 0.082 0.247
10 Bi 0.588 0.918 0.753
11 Bi 0.754 0.754 0.248
12 Bi 0.918 0.588 0.753

Top 12 peaks for 10 to 90 degrees two-theta, in order of rising 2θ:
2θ (°), d [Å], I/Imax
23.74, 3.749, 5
27.47, 3.246, 100
39.25, 2.296, 79
46.38, 1.958, 3
48.57, 1.874, 29
56.71, 1.623, 14
62.33, 1.490, 1
64.14, 1.452, 38
71.14, 1.325, 28
76.19, 1.250, 1
84.39, 1.148, 9
89.24, 1.098, 1